Theoretical X-ray diffraction stick pattern
Compound: Zr9NiMo4
Radiation: Cu Kα X-rays
Structure: a crystal structure in the Materials Project, relaxed with PBE
Intensities are scaled so that the largest is 100.

Structural model:
Lattice parameters (Å, degrees): 8.8377 8.8377 8.3978 90.00 90.00 120.00
Space group P6_3/mmc (No. 194)
Asymmetric unit:
1 Zr 0.0822 0.5411 0.2500 x6
2 Zr 0.1991 0.3981 0.5557 x12
3 Ni 0.3333 0.6667 0.7500 x2
4 Mo 0.0000 0.0000 0.0000 x2
5 Mo 0.1100 0.2199 0.2500 x6

Top 10 peaks for 2θ = 10–80°, in order of rising 2θ:
- 2θ = 11.56°, intensity 17
- 2θ = 34.10°, intensity 18
- 2θ = 36.82°, intensity 70
- 2θ = 37.76°, intensity 100
- 2θ = 39.90°, intensity 45
- 2θ = 40.84°, intensity 22
- 2θ = 62.43°, intensity 20
- 2θ = 63.12°, intensity 17
- 2θ = 64.83°, intensity 21
- 2θ = 66.67°, intensity 23